[1]
Diffraction record for KPmCuSe2. The X-ray powder pattern is theoretical, not measured: it uses the PBE geometry in Alexandria and Cu Kα, 1.54184 Å.
Intensities are scaled so that the largest is 100.

Principal peaks in the range 10 to 90 degrees two-theta, in order of falling intensity:
2θ = 11.43°, intensity 100
2θ = 28.99°, intensity 36
2θ = 25.61°, intensity 35
2θ = 32.58°, intensity 33
2θ = 29.85°, intensity 27
2θ = 34.90°, intensity 26
2θ = 45.36°, intensity 24
2θ = 39.58°, intensity 19

Atomic structure:
```
KPmCuSe2
1.0
7.848 0.000 0.000
0.000 4.668 0.000
-1.372 0.000 8.203
K Pm Cu Se
2 2 2 4
direct
0.000 0.173 0.250
0.000 0.827 0.750
0.500 0.491 0.750
0.500 0.509 0.250
0.500 0.000 0.000
0.500 0.000 0.500
0.260 0.310 0.966
0.260 0.690 0.466
0.740 0.310 0.534
0.740 0.690 0.034
```

=====

[2]
Diffraction record for KCu2Pt. The X-ray powder pattern is theoretical, not measured: it uses the PBE geometry in Alexandria and Cu Kα, 1.54184 Å.
Intensities are scaled so that the largest is 100.

Principal peaks in the range 10 to 90 degrees two-theta, in order of falling intensity:
2θ = 12.51°, intensity 100
2θ = 39.52°, intensity 36
2θ = 34.48°, intensity 35
2θ = 45.12°, intensity 15
2θ = 47.36°, intensity 15
2θ = 25.17°, intensity 11
2θ = 41.53°, intensity 11
2θ = 41.69°, intensity 11

Atomic structure:
```
KCu2Pt
1.0
2.835 0.000 0.000
0.000 3.837 0.000
-0.056 0.000 7.077
K Cu Pt
1 2 1
direct
0.000 0.000 0.000
0.498 0.500 0.333
0.502 0.500 0.667
0.000 0.000 0.500
```

=====

[3]
Diffraction record for K3Pu3CuTe8. The X-ray powder pattern is theoretical, not measured: it uses the PBE geometry in Alexandria and Cu Kα, 1.54184 Å.
Intensities are scaled so that the largest is 100.

Principal peaks in the range 10 to 90 degrees two-theta, in order of falling intensity:
2θ = 10.61°, intensity 100
2θ = 27.24°, intensity 85
2θ = 27.36°, intensity 37
2θ = 34.30°, intensity 37
2θ = 40.99°, intensity 28
2θ = 36.92°, intensity 24
2θ = 40.31°, intensity 16
2θ = 46.24°, intensity 15

Atomic structure:
```
K3Pu3CuTe8
1.0
7.589 -4.475 0.000
7.589 4.475 0.000
-4.968 0.000 8.339
K Pu Cu Te
3 3 1 8
direct
0.000 0.000 0.000
0.000 0.500 0.000
0.500 0.000 0.000
0.000 0.500 0.500
0.500 0.000 0.500
0.500 0.500 0.500
0.000 0.000 0.500
0.205 0.205 0.679
0.233 0.734 0.700
0.263 0.263 0.290
0.266 0.767 0.300
0.734 0.233 0.700
0.737 0.737 0.710
0.767 0.266 0.300
0.795 0.795 0.321
```

=====

[4]
Diffraction record for KRbCuSe2. The X-ray powder pattern is theoretical, not measured: it uses the PBE geometry in Alexandria and Cu Kα, 1.54184 Å.
Intensities are scaled so that the largest is 100.

Principal peaks in the range 10 to 90 degrees two-theta, in order of falling intensity:
2θ = 31.42°, intensity 100
2θ = 11.97°, intensity 95
2θ = 11.29°, intensity 55
2θ = 30.62°, intensity 45
2θ = 28.07°, intensity 39
2θ = 42.35°, intensity 27
2θ = 37.07°, intensity 25
2θ = 42.89°, intensity 24

Atomic structure:
```
KRbCuSe2
1.0
5.434 0.000 0.000
0.000 7.391 0.000
0.000 0.000 7.838
K Rb Cu Se
2 2 2 4
direct
0.250 0.000 0.154
0.750 0.000 0.846
0.250 0.500 0.378
0.750 0.500 0.622
0.000 0.500 0.000
0.500 0.500 0.000
0.250 0.279 0.822
0.250 0.721 0.822
0.750 0.279 0.178
0.750 0.721 0.178
```